Entry 1:
RbTmPbI6: simulated powder X-ray diffraction pattern (λ = 1.5418 Å (Cu Kα)), based on a structure optimized by DFT (PBE).
Neutral-atom scattering factors, no anomalous dispersion.

Principal peaks in the range 2θ from 10° to 90°, by intensity:
hkl 1 1 2, 2θ 24.55, rel. 100.0; hkl 1 1 4, 2θ 31.33, rel. 87.0; hkl 1 0 2, 2θ 16.75, rel. 49.4; hkl 3 0 0, 2θ 38.34, rel. 43.1; hkl 0 0 2, 2θ 11.03, rel. 42.2; hkl 2 -1 6, 2θ 40.38, rel. 32.0

Structural model:
```
data_RbTmPbI6
_cell_length_a 8.1331
_cell_length_b 8.1331
_cell_length_c 16.0366
_cell_angle_alpha 90.00
_cell_angle_beta 90.00
_cell_angle_gamma 120.00
_symmetry_space_group_name_H-M 'P -3 1 c'
_symmetry_Int_Tables_number 163
_symmetry_space_group_name_Hall '-P 3 2c'
loop_
_atom_site_label
_atom_site_fract_x
_atom_site_fract_y
_atom_site_fract_z
Rb1 0.0000 0.0000 0.0000
Tm1 0.3333 0.6667 0.2500
Pb1 0.3333 0.6667 0.7500
I1 0.0223 0.3805 0.1391
```

Entry 2:
LiAl6Pt2: simulated powder X-ray diffraction pattern (λ = 1.5418 Å (Cu Kα)), based on a structure optimized by DFT (PBE).
Neutral-atom scattering factors, no anomalous dispersion.

Principal peaks in the range 2θ from 10° to 90°, by intensity:
hkl 1 0 1, 2θ 21.51, rel. 100.0; hkl 1 0 -1, 2θ 28.15, rel. 63.3; hkl 0 1 0, 2θ 19.27, rel. 60.7; hkl 1 2 2, 2θ 43.77, rel. 47.3; hkl 0 1 -2, 2θ 31.70, rel. 43.5; hkl 0 2 -1, 2θ 40.38, rel. 41.6

Structural model:
```
data_LiAl6Pt2
_cell_length_a 4.7662
_cell_length_b 5.0221
_cell_length_c 6.9903
_cell_angle_alpha 88.08
_cell_angle_beta 73.97
_cell_angle_gamma 66.96
_symmetry_space_group_name_H-M 'P -1'
_symmetry_Int_Tables_number 2
loop_
_symmetry_equiv_pos_as_xyz
'x,y,z'
'-x,-y,-z'
loop_
_atom_site_label
_atom_site_fract_x
_atom_site_fract_y
_atom_site_fract_z
Li1 0.0000 0.0000 0.0000
Al1 0.0814 0.6461 0.3213
Al2 0.3537 0.3228 0.9563
Al3 0.3810 0.7744 0.5840
Pt1 0.2242 0.0989 0.2957
```

Entry 3:
Tm8AuC4: simulated powder X-ray diffraction pattern (λ = 1.5418 Å (Cu Kα)), based on a structure optimized by DFT (PBE).
Neutral-atom scattering factors, no anomalous dispersion.

Principal peaks in the range 2θ from 10° to 90°, by intensity:
hkl 3 1 0, 2θ 33.38, rel. 100.0; hkl 6 0 -3, 2θ 31.34, rel. 43.1; hkl 2 0 -4, 2θ 33.08, rel. 21.6; hkl 1 1 4, 2θ 54.85, rel. 20.4; hkl 9 1 -3, 2θ 57.10, rel. 16.1; hkl 1 1 1, 2θ 29.84, rel. 13.5

Structural model:
```
data_Tm8AuC4
_cell_length_a 17.1219
_cell_length_b 3.5939
_cell_length_c 12.1030
_cell_angle_alpha 90.00
_cell_angle_beta 134.95
_cell_angle_gamma 90.00
_symmetry_space_group_name_H-M 'C 1 2/m 1'
_symmetry_Int_Tables_number 12
loop_
_symmetry_equiv_pos_as_xyz
'x,y,z'
'-x,-y,-z'
'-x,y,-z'
'x,-y,z'
'x+1/2,y+1/2,z'
'-x+1/2,-y+1/2,-z'
'-x+1/2,y+1/2,-z'
'x+1/2,-y+1/2,z'
loop_
_atom_site_label
_atom_site_fract_x
_atom_site_fract_y
_atom_site_fract_z
Tm1 0.0460 0.0000 0.2051
Tm2 0.1447 0.5000 0.8254
Tm3 0.1587 0.5000 0.1127
Tm4 0.1809 0.5000 0.5363
Au1 0.0000 0.0000 0.5000
C1 0.1538 0.0000 0.9758
C2 0.1778 0.5000 0.3318
```